Y4Mg25: theoretical powder diffractogram (Cu Kα (λ = 1.5418 Å)), based on a crystal structure in the Materials Project, relaxed with GGA-PBE.
Intensities are scaled so that the largest is 100.

Atomic structure:
a b c (Å): 9.734 9.734 9.734
angles (deg): 109.51 109.51 109.51
Fractional positions:
Y: 0.000 0.000 0.000
Y: 0.000 0.000 0.374
Y: 0.000 0.374 0.000
Y: 0.374 0.000 0.000
Mg: 0.001 0.630 0.811
Mg: 0.001 0.811 0.630
Mg: 0.002 0.325 0.610
Mg: 0.002 0.610 0.325
Mg: 0.181 0.372 0.372
Mg: 0.191 0.191 0.821
Mg: 0.191 0.821 0.191
Mg: 0.285 0.678 0.678
Mg: 0.325 0.002 0.610
Mg: 0.325 0.610 0.002
Mg: 0.372 0.181 0.372
Mg: 0.372 0.372 0.181
Mg: 0.394 0.394 0.713
Mg: 0.394 0.713 0.394
Mg: 0.610 0.002 0.325
Mg: 0.610 0.325 0.002
Mg: 0.630 0.001 0.811
Mg: 0.630 0.811 0.001
Mg: 0.632 0.632 0.632
Mg: 0.678 0.285 0.678
Mg: 0.678 0.678 0.285
Mg: 0.713 0.394 0.394
Mg: 0.811 0.001 0.630
Mg: 0.811 0.630 0.001
Mg: 0.821 0.191 0.191

The 10 most intense peaks (5° ≤ 2θ ≤ 70°), low angle first:
7.939 Å, I = 20
4.588 Å, I = 14
3.971 Å, I = 7
3.003 Å, I = 17
2.648 Å, I = 100
2.395 Å, I = 13
2.293 Å, I = 12
1.822 Å, I = 11
1.589 Å, I = 10
1.529 Å, I = 23

=====

K2CaNd4Nb2O12: theoretical powder diffractogram (Cu Kα (λ = 1.5418 Å)), based on a crystal structure in the Materials Project, relaxed with GGA-PBE.
Intensities are scaled so that the largest is 100.

Atomic structure:
a b c (Å): 6.930 6.930 9.180
angles (deg): 103.60 103.60 50.31
Fractional positions:
K: 0.000 0.000 0.000
K: 0.737 0.737 0.965
Ca: 0.807 0.807 0.296
Nd: 0.047 0.047 0.469
Nd: 0.293 0.293 0.323
Nd: 0.462 0.462 0.696
Nd: 0.757 0.757 0.607
Nb: 0.228 0.228 0.805
Nb: 0.532 0.532 0.218
O: 0.105 0.577 0.802
O: 0.118 0.651 0.504
O: 0.181 0.668 0.225
O: 0.210 0.210 0.003
O: 0.362 0.876 0.695
O: 0.429 0.877 0.338
O: 0.549 0.549 0.024
O: 0.577 0.105 0.802
O: 0.651 0.118 0.504
O: 0.668 0.181 0.225
O: 0.876 0.362 0.695
O: 0.877 0.429 0.338

The 10 most intense peaks (5° ≤ 2θ ≤ 70°), low angle first:
8.865 Å, I = 68
3.365 Å, I = 51
3.224 Å, I = 100
3.029 Å, I = 22
2.988 Å, I = 72
2.947 Å, I = 49
2.112 Å, I = 34
2.094 Å, I = 24
1.975 Å, I = 24
1.710 Å, I = 22

=====

Copy entry 1 word for word.
Y4Mg25: theoretical powder diffractogram (Cu Kα (λ = 1.5418 Å)), based on a crystal structure in the Materials Project, relaxed with GGA-PBE.
Intensities are scaled so that the largest is 100.

Atomic structure:
a b c (Å): 9.734 9.734 9.734
angles (deg): 109.51 109.51 109.51
Fractional positions:
Y: 0.000 0.000 0.000
Y: 0.000 0.000 0.374
Y: 0.000 0.374 0.000
Y: 0.374 0.000 0.000
Mg: 0.001 0.630 0.811
Mg: 0.001 0.811 0.630
Mg: 0.002 0.325 0.610
Mg: 0.002 0.610 0.325
Mg: 0.181 0.372 0.372
Mg: 0.191 0.191 0.821
Mg: 0.191 0.821 0.191
Mg: 0.285 0.678 0.678
Mg: 0.325 0.002 0.610
Mg: 0.325 0.610 0.002
Mg: 0.372 0.181 0.372
Mg: 0.372 0.372 0.181
Mg: 0.394 0.394 0.713
Mg: 0.394 0.713 0.394
Mg: 0.610 0.002 0.325
Mg: 0.610 0.325 0.002
Mg: 0.630 0.001 0.811
Mg: 0.630 0.811 0.001
Mg: 0.632 0.632 0.632
Mg: 0.678 0.285 0.678
Mg: 0.678 0.678 0.285
Mg: 0.713 0.394 0.394
Mg: 0.811 0.001 0.630
Mg: 0.811 0.630 0.001
Mg: 0.821 0.191 0.191

The 10 most intense peaks (5° ≤ 2θ ≤ 70°), low angle first:
7.939 Å, I = 20
4.588 Å, I = 14
3.971 Å, I = 7
3.003 Å, I = 17
2.648 Å, I = 100
2.395 Å, I = 13
2.293 Å, I = 12
1.822 Å, I = 11
1.589 Å, I = 10
1.529 Å, I = 23